The following is a simulated powder diffraction line list of AcCd2CuPd4. It was derived from a DFT-relaxed cell (PBE, Alexandria), using Cu Kα X-rays.
No peak broadening, texture or thermal motion is included.

Atomic structure:
```
data_AcCd2CuPd4
_space_group_name_H-M_alt 'R -3 m'
_space_group_IT_number 166
_space_group_name_Hall '-R 3 2"'
_cell_length_a 4.5847
_cell_length_b 4.5847
_cell_length_c 26.0328
_cell_angle_alpha 90.00
_cell_angle_beta 90.00
_cell_angle_gamma 120.00
loop_
_atom_site_label
_atom_site_fract_x
_atom_site_fract_y
_atom_site_fract_z
_atom_site_occupancy
Ac1 0.0000 0.0000 0.0000 1
Cd1 0.0000 0.0000 0.2352 1
Cu1 0.0000 0.0000 0.5000 1
Pd1 0.0000 0.0000 0.1281 1
Pd2 0.0000 0.0000 0.4012 1
```

Principal peaks in the range 10 to 80 degrees two-theta, low angle first:
| 2θ/deg | Rel. int. | (hkl) |
| --- | --- | --- |
| 22.65 | 9 | 1 0 1 |
| 28.27 | 29 | 0 1 5 |
| 33.00 | 12 | 1 0 7 |
| 35.67 | 76 | 0 1 8 |
| 39.30 | 100 | 1 1 0 |
| 41.48 | 10 | 1 0 10 |
| 44.57 | 13 | 0 1 11 |
| 50.82 | 8 | 1 1 9 |
| 54.12 | 23 | 2 0 8 |
| 65.31 | 8 | 0 1 17 |
| 68.90 | 22 | 1 2 8 |
| 71.25 | 17 | 3 0 0 |

---

The following is a simulated powder diffraction line list of AcErCd. It was derived from a DFT-relaxed cell (PBE, Alexandria), using Cu Kα X-rays.
No peak broadening, texture or thermal motion is included.

Atomic structure:
```
data_AcErCd
_space_group_name_H-M_alt 'P -6 m 2'
_space_group_IT_number 187
_space_group_name_Hall 'P -6 2'
_cell_length_a 5.3835
_cell_length_b 5.3835
_cell_length_c 3.9687
_cell_angle_alpha 90.00
_cell_angle_beta 90.00
_cell_angle_gamma 120.00
loop_
_atom_site_label
_atom_site_fract_x
_atom_site_fract_y
_atom_site_fract_z
_atom_site_occupancy
Ac1 0.0000 0.0000 0.0000 1
Er1 0.3333 0.6667 0.5000 1
Cd1 0.6667 0.3333 0.5000 1
```

Principal peaks in the range 10 to 80 degrees two-theta, low angle first:
| 2θ/deg | Rel. int. | (hkl) |
| --- | --- | --- |
| 19.04 | 9 | 1 0 0 |
| 29.56 | 100 | 1 0 1 |
| 33.29 | 70 | 1 1 0 |
| 45.11 | 32 | 2 0 1 |
| 45.72 | 10 | 0 0 2 |
| 57.20 | 32 | 2 1 1 |
| 57.72 | 29 | 1 1 2 |
| 59.48 | 13 | 3 0 0 |
| 69.89 | 8 | 2 2 0 |
| 74.57 | 7 | 1 0 3 |
| 77.66 | 13 | 3 1 1 |
| 78.11 | 12 | 3 0 2 |

---

The following is a simulated powder diffraction line list of Ac2ErCd2. It was derived from a DFT-relaxed cell (PBE, Alexandria), using Cu Kα X-rays.
No peak broadening, texture or thermal motion is included.

Atomic structure:
```
data_Ac2ErCd2
_space_group_name_H-M_alt 'I m m m'
_space_group_IT_number 71
_space_group_name_Hall '-I 2 2'
_cell_length_a 4.1137
_cell_length_b 7.5739
_cell_length_c 10.9902
_cell_angle_alpha 90.00
_cell_angle_beta 90.00
_cell_angle_gamma 90.00
loop_
_atom_site_label
_atom_site_fract_x
_atom_site_fract_y
_atom_site_fract_z
_atom_site_occupancy
Ac1 0.0000 0.0000 0.2193 1
Er1 0.0000 0.5000 0.0000 1
Cd1 0.0000 0.3010 0.5000 1
```

Principal peaks in the range 10 to 80 degrees two-theta, low angle first:
| 2θ/deg | Rel. int. | (hkl) |
| --- | --- | --- |
| 23.49 | 19 | 0 2 0 |
| 27.04 | 17 | 0 1 3 |
| 28.63 | 24 | 0 2 2 |
| 29.58 | 100 | 1 1 2 |
| 32.59 | 24 | 0 0 4 |
| 33.17 | 34 | 1 2 1 |
| 43.54 | 15 | 0 3 3 |
| 44.02 | 14 | 2 0 0 |
| 45.26 | 12 | 1 3 2 |
| 53.07 | 24 | 1 2 5 |
| 55.83 | 11 | 2 0 4 |
| 68.14 | 14 | 1 5 2 |

---

The following is a simulated powder diffraction line list of AcErCd2Hg4. It was derived from a DFT-relaxed cell (PBE, Alexandria), using Cu Kα X-rays.
No peak broadening, texture or thermal motion is included.

Atomic structure:
```
data_AcErCd2Hg4
_space_group_name_H-M_alt 'R -3 m'
_space_group_IT_number 166
_space_group_name_Hall '-R 3 2"'
_cell_length_a 5.2000
_cell_length_b 5.2000
_cell_length_c 26.0763
_cell_angle_alpha 90.00
_cell_angle_beta 90.00
_cell_angle_gamma 120.00
loop_
_atom_site_label
_atom_site_fract_x
_atom_site_fract_y
_atom_site_fract_z
_atom_site_occupancy
Ac1 0.0000 0.0000 0.0000 1
Er1 0.0000 0.0000 0.5000 1
Cd1 0.0000 0.0000 0.2491 1
Hg1 0.0000 0.0000 0.1306 1
Hg2 0.0000 0.0000 0.3834 1
```

Principal peaks in the range 10 to 80 degrees two-theta, low angle first:
| 2θ/deg | Rel. int. | (hkl) |
| --- | --- | --- |
| 20.87 | 5 | 0 1 2 |
| 24.02 | 3 | 1 0 4 |
| 26.14 | 3 | 0 1 5 |
| 31.16 | 3 | 1 0 7 |
| 33.95 | 97 | 0 1 8 |
| 34.50 | 100 | 1 1 0 |
| 49.18 | 34 | 2 0 8 |
| 60.40 | 15 | 1 0 16 |
| 61.46 | 35 | 1 2 8 |
| 61.80 | 19 | 3 0 0 |
| 71.46 | 9 | 0 2 16 |
| 72.74 | 12 | 2 2 0 |

---

The following is a simulated powder diffraction line list of AcEr2Cd2In2. It was derived from a DFT-relaxed cell (PBE, Alexandria), using Cu Kα X-rays.
No peak broadening, texture or thermal motion is included.

Atomic structure:
```
data_AcEr2Cd2In2
_space_group_name_H-M_alt 'R -3 m'
_space_group_IT_number 166
_space_group_name_Hall '-R 3 2"'
_cell_length_a 5.0214
_cell_length_b 5.0214
_cell_length_c 27.5288
_cell_angle_alpha 90.00
_cell_angle_beta 90.00
_cell_angle_gamma 120.00
loop_
_atom_site_label
_atom_site_fract_x
_atom_site_fract_y
_atom_site_fract_z
_atom_site_occupancy
Ac1 0.0000 0.0000 0.0000 1
Er1 0.0000 0.0000 0.1351 1
Cd1 0.0000 0.0000 0.4328 1
In1 0.0000 0.0000 0.2580 1
```

Principal peaks in the range 10 to 80 degrees two-theta, low angle first:
| 2θ/deg | Rel. int. | (hkl) |
| --- | --- | --- |
| 20.68 | 17 | 1 0 1 |
| 30.65 | 100 | 1 0 7 |
| 33.20 | 29 | 0 1 8 |
| 35.76 | 97 | 1 1 0 |
| 46.81 | 12 | 1 1 9 |
| 47.80 | 29 | 0 2 7 |
| 49.61 | 12 | 2 0 8 |
| 57.62 | 14 | 1 0 16 |
| 61.11 | 29 | 2 1 7 |
| 62.67 | 18 | 1 2 8 |
| 64.26 | 17 | 3 0 0 |
| 75.77 | 11 | 2 2 0 |

---

The following is a simulated powder diffraction line list of AcCdF6. It was derived from a DFT-relaxed cell (PBE, Alexandria), using Cu Kα X-rays.
No peak broadening, texture or thermal motion is included.

Atomic structure:
```
data_AcCdF6
_space_group_name_H-M_alt 'C 1 2/m 1'
_space_group_IT_number 12
_cell_length_a 7.2058
_cell_length_b 4.6970
_cell_length_c 7.4568
_cell_angle_alpha 90.00
_cell_angle_beta 103.52
_cell_angle_gamma 90.00
loop_
_space_group_symop_operation_xyz
'x,y,z'
'-x,-y,-z'
'-x,y,-z'
'x,-y,z'
'x+1/2,y+1/2,z'
'-x+1/2,-y+1/2,-z'
'-x+1/2,y+1/2,-z'
'x+1/2,-y+1/2,z'
loop_
_atom_site_label
_atom_site_fract_x
_atom_site_fract_y
_atom_site_fract_z
_atom_site_occupancy
Ac1 0.0000 0.0000 0.0000 1
Cd1 0.0000 0.5000 0.5000 1
F1 0.1400 0.2399 0.3225 1
F2 0.1536 0.5000 0.9408 1
```

Principal peaks in the range 10 to 80 degrees two-theta, low angle first:
| 2θ/deg | Rel. int. | (hkl) |
| --- | --- | --- |
| 12.21 | 17 | 0 0 1 |
| 24.49 | 100 | 1 1 -1 |
| 25.45 | 34 | 2 0 0 |
| 27.33 | 42 | 1 1 1 |
| 39.74 | 16 | 2 0 2 |
| 41.30 | 21 | 1 1 -3 |
| 42.41 | 21 | 3 1 -1 |
| 46.05 | 20 | 0 2 2 |
| 46.56 | 13 | 2 2 0 |
| 47.72 | 14 | 3 1 1 |
| 50.14 | 11 | 2 2 -2 |
| 51.45 | 11 | 3 1 -3 |

---

The following is a simulated powder diffraction line list of AcCdF. It was derived from a DFT-relaxed cell (PBE, Alexandria), using Cu Kα X-rays.
No peak broadening, texture or thermal motion is included.

Atomic structure:
```
data_AcCdF
_space_group_name_H-M_alt 'A m m 2'
_space_group_IT_number 38
_cell_length_a 13.7173
_cell_length_b 3.9777
_cell_length_c 6.9082
_cell_angle_alpha 90.00
_cell_angle_beta 90.00
_cell_angle_gamma 90.00
loop_
_space_group_symop_operation_xyz
'x,y,z'
'-x,-y,z'
'-x,y,z'
'x,-y,z'
'x,y+1/2,z+1/2'
'-x,-y+1/2,z+1/2'
'-x,y+1/2,z+1/2'
'x,-y+1/2,z+1/2'
loop_
_atom_site_label
_atom_site_fract_x
_atom_site_fract_y
_atom_site_fract_z
_atom_site_occupancy
Ac1 0.1873 0.0000 0.0000 1
Cd1 0.0000 0.0000 0.3330 1
Cd2 0.5000 0.0000 0.0618 1
F1 0.2790 0.0000 0.3351 1
```

Principal peaks in the range 10 to 80 degrees two-theta, low angle first:
| 2θ/deg | Rel. int. | (hkl) |
| --- | --- | --- |
| 19.41 | 25 | 3 0 0 |
| 25.83 | 61 | 0 1 1 |
| 28.97 | 27 | 2 0 2 |
| 32.51 | 100 | 3 0 2 |
| 42.08 | 11 | 5 0 2 |
| 45.55 | 25 | 0 2 0 |
| 47.73 | 14 | 6 1 1 |
| 49.96 | 11 | 3 2 0 |
| 53.80 | 9 | 7 0 2 |
| 57.13 | 25 | 3 2 2 |
| 60.28 | 9 | 8 0 2 |
| 61.78 | 11 | 6 2 0 |

---

The following is a simulated powder diffraction line list of Li2AcCdF8. It was derived from a DFT-relaxed cell (PBE, Alexandria), using Cu Kα X-rays.
No peak broadening, texture or thermal motion is included.

Atomic structure:
```
data_Li2AcCdF8
_space_group_name_H-M_alt 'P -3'
_space_group_IT_number 147
_cell_length_a 5.0735
_cell_length_b 5.0735
_cell_length_c 7.4649
_cell_angle_alpha 90.00
_cell_angle_beta 90.00
_cell_angle_gamma 120.00
loop_
_space_group_symop_operation_xyz
'x,y,z'
'-x,-y,-z'
'-y,x-y,z'
'y,-x+y,-z'
'-x+y,-x,z'
'x-y,x,-z'
loop_
_atom_site_label
_atom_site_fract_x
_atom_site_fract_y
_atom_site_fract_z
_atom_site_occupancy
Li1 0.3333 0.6667 0.2380 1
Ac1 0.0000 0.0000 0.5000 1
Cd1 0.0000 0.0000 0.0000 1
F1 0.0078 0.7027 0.7896 1
F2 0.3333 0.6667 0.4880 1
```

Principal peaks in the range 10 to 80 degrees two-theta, low angle first:
| 2θ/deg | Rel. int. | (hkl) |
| --- | --- | --- |
| 11.86 | 13 | 0 0 1 |
| 20.21 | 100 | 1 0 0 |
| 23.84 | 14 | 0 0 2 |
| 31.45 | 61 | 1 0 2 |
| 35.38 | 25 | 1 1 0 |
| 37.44 | 14 | 1 1 1 |
| 41.09 | 13 | 2 0 0 |
| 43.12 | 46 | 2 -1 2 |
| 48.06 | 23 | 0 2 2 |
| 53.33 | 15 | 1 0 4 |
| 55.32 | 12 | 2 1 0 |
| 61.07 | 22 | 3 -1 2 |